Entry 1:
Theoretical powder diffractogram
Compound: MgAl6Ag
Radiation: λ = 1.5418 Å (Cu Kα)
Structure: a GGA-PBE-relaxed structure

Cell and atoms:
Cell: 5.4882 5.4882 5.5521 Å, 98.41 98.41 114.36°
Fractional coordinates of all 8 atoms:
Mg 0.0000 0.0000 0.0000
Al 0.0665 0.5609 0.2629
Al 0.4391 0.9335 0.7371
Al 0.4519 0.4519 0.7404
Al 0.5481 0.5481 0.2596
Al 0.5609 0.0665 0.2629
Al 0.9335 0.4391 0.7371
Ag 0.0000 0.0000 0.5000

Main lines, in order of rising 2θ (2θ = 10–90°):
2θ (°)  I/Imax
16.58  54
18.23  63
21.69  57
31.21  34
34.38  68
36.94  100
38.94  47
39.07  62
42.13  36
44.29  36

Entry 2:
Theoretical powder diffractogram
Compound: MgAl2Ag6
Radiation: λ = 1.5418 Å (Cu Kα)
Structure: a GGA-PBE-relaxed structure

Cell and atoms:
Cell: 8.5168 8.5168 4.2901 Å, 90.00 90.00 90.00°
Fractional coordinates of all 18 atoms:
Mg 0.0000 0.0000 0.0000
Mg 0.5000 0.5000 0.5000
Al 0.1888 0.1888 0.5000
Al 0.3112 0.6888 0.0000
Al 0.6888 0.3112 0.0000
Al 0.8112 0.8112 0.5000
Ag 0.0147 0.3282 0.0000
Ag 0.1463 0.8537 0.5000
Ag 0.1718 0.5147 0.5000
Ag 0.3282 0.0147 0.0000
Ag 0.3537 0.3537 0.0000
Ag 0.4853 0.8282 0.5000
Ag 0.5147 0.1718 0.5000
Ag 0.6463 0.6463 0.0000
Ag 0.6718 0.9853 0.0000
Ag 0.8282 0.4853 0.5000
Ag 0.8537 0.1463 0.5000
Ag 0.9853 0.6718 0.0000

Main lines, in order of rising 2θ (2θ = 10–90°):
2θ (°)  I/Imax
14.71  8
23.36  9
25.49  9
31.41  14
38.01  100
42.13  19
45.17  27
63.47  18
74.26  12
78.58  15